# 1
Calculated powder XRD pattern of TbNbAl for λ = 1.5418 Å (Cu Kα), from a crystal structure in Alexandria, relaxed with GGA-PBE.
Kinematic intensities with the Lorentz-polarization factor, no thermal factor.

Crystal structure
Cell: 7.175 6.462 4.946 Å, 76.67 61.21 42.12°
Element x y z (fractional)
Tb1 0.174 0.826 0.174
Tb2 0.826 0.174 0.826
Nb1 0.250 0.250 0.250
Nb2 0.750 0.750 0.750
Al1 0.382 0.382 0.618
Al2 0.618 0.618 0.382

Main lines, most intense first (10 to 90 degrees two-theta):
2.464 Å, 2θ = 36.47°, I 100; 2.405 Å, 2θ = 37.39°, I 88; 4.134 Å, 2θ = 21.50°, I 76; 2.116 Å, 2θ = 42.73°, I 67; 2.392 Å, 2θ = 37.61°, I 64; 2.932 Å, 2θ = 30.49°, I 64

***

# 2
Calculated powder XRD pattern of Nb6AlTc for λ = 1.5418 Å (Cu Kα), from a crystal structure in Alexandria, relaxed with GGA-PBE.
Kinematic intensities with the Lorentz-polarization factor, no thermal factor.

Crystal structure
Cell: 5.193 5.193 5.193 Å, 90.04 90.04 90.04°
Element x y z (fractional)
Nb1 0.000 0.499 0.746
Nb2 0.000 0.501 0.254
Nb3 0.254 0.000 0.501
Nb4 0.499 0.746 0.000
Nb5 0.501 0.254 0.000
Nb6 0.746 0.000 0.499
Al1 0.000 0.000 0.000
Tc1 0.500 0.500 0.500

Main lines, most intense first (10 to 90 degrees two-theta):
2.323 Å, 2θ = 38.77°, I 100; 2.120 Å, 2θ = 42.64°, I 51; 1.388 Å, 2θ = 67.48°, I 25; 2.597 Å, 2θ = 34.54°, I 23; 1.440 Å, 2θ = 64.72°, I 21; 1.133 Å, 2θ = 85.73°, I 19

***

# 3
Calculated powder XRD pattern of ThNbAl for λ = 1.5418 Å (Cu Kα), from a crystal structure in Alexandria, relaxed with GGA-PBE.
Kinematic intensities with the Lorentz-polarization factor, no thermal factor.

Crystal structure
Cell: 5.950 5.950 5.950 Å, 89.31 89.31 89.31°
Element x y z (fractional)
Th1 0.000 0.651 0.349
Th2 0.349 0.000 0.651
Th3 0.651 0.349 0.000
Nb1 0.128 0.128 0.128
Nb2 0.500 0.500 0.500
Nb3 0.872 0.872 0.872
Al1 0.164 0.500 0.836
Al2 0.500 0.836 0.164
Al3 0.836 0.164 0.500

Main lines, most intense first (10 to 90 degrees two-theta):
2.673 Å, 2θ = 33.52°, I 100; 4.182 Å, 2θ = 21.25°, I 56; 2.414 Å, 2θ = 37.24°, I 56; 1.792 Å, 2θ = 50.96°, I 30; 1.439 Å, 2θ = 64.79°, I 28; 1.411 Å, 2θ = 66.25°, I 15

***

# 4
Calculated powder XRD pattern of Ti6NbAl3 for λ = 1.5418 Å (Cu Kα), from a crystal structure in Alexandria, relaxed with GGA-PBE.
Kinematic intensities with the Lorentz-polarization factor, no thermal factor.

Crystal structure
Cell: 7.773 4.631 9.960 Å, 90.00 110.92 90.00°
Element x y z (fractional)
Ti1 0.045 0.250 0.423
Ti2 0.153 0.750 0.170
Ti3 0.250 0.250 0.019
Ti4 0.348 0.750 0.776
Ti5 0.356 0.250 0.326
Ti6 0.414 0.250 0.613
Ti7 0.586 0.750 0.387
Ti8 0.644 0.750 0.674
Ti9 0.652 0.250 0.224
Ti10 0.750 0.750 0.981
Ti11 0.847 0.250 0.830
Ti12 0.955 0.750 0.577
Nb1 0.452 0.750 0.096
Nb2 0.548 0.250 0.904
Al1 0.056 0.750 0.875
Al2 0.132 0.250 0.724
Al3 0.265 0.750 0.468
Al4 0.735 0.250 0.532
Al5 0.868 0.750 0.276
Al6 0.944 0.250 0.125

Main lines, most intense first (10 to 90 degrees two-theta):
2.252 Å, 2θ = 40.04°, I 100; 2.229 Å, 2θ = 40.47°, I 92; 2.315 Å, 2θ = 38.90°, I 60; 2.383 Å, 2θ = 37.76°, I 43; 7.261 Å, 2θ = 12.19°, I 27; 1.661 Å, 2θ = 55.32°, I 26

***

# 5
Calculated powder XRD pattern of Ti5NbAl2 for λ = 1.5418 Å (Cu Kα), from a crystal structure in Alexandria, relaxed with GGA-PBE.
Kinematic intensities with the Lorentz-polarization factor, no thermal factor.

Crystal structure
Cell: 7.068 7.068 7.068 Å, 141.57 141.57 55.48°
Element x y z (fractional)
Ti1 0.000 0.000 0.000
Ti2 0.123 0.623 0.500
Ti3 0.377 0.877 0.500
Ti4 0.623 0.123 0.500
Ti5 0.877 0.377 0.500
Nb1 0.500 0.500 0.000
Al1 0.250 0.250 0.000
Al2 0.750 0.750 0.000

Main lines, most intense first (10 to 90 degrees two-theta):
2.267 Å, 2θ = 39.76°, I 100; 2.326 Å, 2θ = 38.71°, I 54; 1.331 Å, 2θ = 70.76°, I 33; 6.256 Å, 2θ = 14.16°, I 19; 1.645 Å, 2θ = 55.89°, I 17; 1.298 Å, 2θ = 72.88°, I 15

***

# 6
Calculated powder XRD pattern of Ti3Nb2Al for λ = 1.5418 Å (Cu Kα), from a crystal structure in Alexandria, relaxed with GGA-PBE.
Kinematic intensities with the Lorentz-polarization factor, no thermal factor.

Crystal structure
Cell: 4.580 9.160 4.948 Å, 90.00 90.00 90.00°
Element x y z (fractional)
Ti1 0.000 0.061 0.000
Ti2 0.000 0.245 0.435
Ti3 0.000 0.755 0.935
Ti4 0.000 0.939 0.500
Ti5 0.500 0.412 0.337
Ti6 0.500 0.588 0.837
Nb1 0.000 0.415 0.887
Nb2 0.000 0.585 0.387
Nb3 0.500 0.237 0.837
Nb4 0.500 0.763 0.337
Al1 0.500 0.082 0.333
Al2 0.500 0.918 0.833

Main lines, most intense first (10 to 90 degrees two-theta):
2.260 Å, 2θ = 39.89°, I 100; 2.290 Å, 2θ = 39.35°, I 31; 2.474 Å, 2θ = 36.31°, I 23; 1.316 Å, 2θ = 71.70°, I 16; 2.710 Å, 2θ = 33.06°, I 16; 4.353 Å, 2θ = 20.40°, I 14

***

# 7
Calculated powder XRD pattern of TiNb12Al3 for λ = 1.5418 Å (Cu Kα), from a crystal structure in Alexandria, relaxed with GGA-PBE.
Kinematic intensities with the Lorentz-polarization factor, no thermal factor.

Crystal structure
Cell: 5.210 5.238 10.413 Å, 90.00 90.00 90.00°
Element x y z (fractional)
Ti1 0.000 0.000 0.000
Nb1 0.000 0.248 0.251
Nb2 0.000 0.248 0.749
Nb3 0.000 0.752 0.251
Nb4 0.000 0.752 0.749
Nb5 0.245 0.500 0.500
Nb6 0.250 0.500 0.000
Nb7 0.500 0.000 0.126
Nb8 0.500 0.000 0.376
Nb9 0.500 0.000 0.624
Nb10 0.500 0.000 0.874
Nb11 0.750 0.500 0.000
Nb12 0.755 0.500 0.500
Al1 0.000 0.000 0.500
Al2 0.500 0.500 0.251
Al3 0.500 0.500 0.749

Main lines, most intense first (10 to 90 degrees two-theta):
2.330 Å, 2θ = 38.63°, I 100; 2.340 Å, 2θ = 38.47°, I 50; 2.128 Å, 2θ = 42.48°, I 33; 3.690 Å, 2θ = 24.12°, I 29; 1.506 Å, 2θ = 61.57°, I 22; 2.134 Å, 2θ = 42.35°, I 17

***

# 8
Calculated powder XRD pattern of Ti4NbAl4 for λ = 1.5418 Å (Cu Kα), from a crystal structure in Alexandria, relaxed with GGA-PBE.
Kinematic intensities with the Lorentz-polarization factor, no thermal factor.

Crystal structure
Cell: 5.709 5.709 9.759 Å, 90.00 90.00 90.00°
Element x y z (fractional)
Ti1 0.032 0.250 0.188
Ti2 0.250 0.032 0.688
Ti3 0.250 0.468 0.688
Ti4 0.468 0.250 0.188
Ti5 0.532 0.750 0.812
Ti6 0.750 0.532 0.312
Ti7 0.750 0.968 0.312
Ti8 0.968 0.750 0.812
Nb1 0.250 0.750 0.250
Nb2 0.750 0.250 0.750
Al1 0.012 0.250 0.480
Al2 0.250 0.012 0.980
Al3 0.250 0.488 0.980
Al4 0.488 0.250 0.480
Al5 0.512 0.750 0.520
Al6 0.750 0.512 0.020
Al7 0.750 0.988 0.020
Al8 0.988 0.750 0.520

Main lines, most intense first (10 to 90 degrees two-theta):
2.469 Å, 2θ = 36.38°, I 100; 2.146 Å, 2θ = 42.12°, I 50; 4.880 Å, 2θ = 18.18°, I 26; 2.244 Å, 2θ = 40.19°, I 16; 2.008 Å, 2θ = 45.14°, I 16; 3.709 Å, 2θ = 23.99°, I 15

***

- Number 8 is which compound?
  Ti4NbAl4